Starting from a structure optimized by DFT (PBE), the XRD peak list of Pa3Si2Rh3 was simulated for copper Kα.
Neutral-atom scattering factors, no anomalous dispersion.

Cell and atoms:
Unit cell a=7.6053 b=14.5810 c=5.5264 alpha=90.00 beta=90.00 gamma=90.00
Fractional positions:
1 Pa 0.0344 0.1066 0.1414
2 Pa 0.0344 0.3934 0.1414
3 Pa 0.1675 0.2500 0.6318
4 Pa 0.3325 0.7500 0.1318
5 Pa 0.4656 0.6066 0.6414
6 Pa 0.4656 0.8934 0.6414
7 Pa 0.5344 0.1066 0.3586
8 Pa 0.5344 0.3934 0.3586
9 Pa 0.6675 0.2500 0.8682
10 Pa 0.8325 0.7500 0.3682
11 Pa 0.9656 0.6066 0.8586
12 Pa 0.9656 0.8934 0.8586
13 Si 0.1149 0.6095 0.3514
14 Si 0.1149 0.8905 0.3514
15 Si 0.3851 0.1095 0.8514
16 Si 0.3851 0.3905 0.8514
17 Si 0.6149 0.6095 0.1486
18 Si 0.6149 0.8905 0.1486
19 Si 0.8851 0.1095 0.6486
20 Si 0.8851 0.3905 0.6486
21 Rh 0.1715 0.0320 0.5955
22 Rh 0.1715 0.4680 0.5955
23 Rh 0.1974 0.7500 0.6383
24 Rh 0.3026 0.2500 0.1383
25 Rh 0.3285 0.5320 0.0955
26 Rh 0.3285 0.9680 0.0955
27 Rh 0.6715 0.0320 0.9045
28 Rh 0.6715 0.4680 0.9045
29 Rh 0.6974 0.7500 0.8617
30 Rh 0.8026 0.2500 0.3617
31 Rh 0.8285 0.5320 0.4045
32 Rh 0.8285 0.9680 0.4045

Largest 10 diffraction maxima, in order of falling intensity, 2θ from 5° to 70°:
| 2θ (°) | d [Å] | I_rel |
| --- | --- | --- |
| 34.1 | 2.632 | 100 |
| 31.7 | 2.825 | 58 |
| 37.9 | 2.376 | 47 |
| 35.1 | 2.557 | 46 |
| 39.1 | 2.304 | 45 |
| 34.5 | 2.597 | 44 |
| 39.3 | 2.291 | 36 |
| 24.4 | 3.650 | 32 |
| 29.2 | 3.063 | 25 |
| 42.8 | 2.115 | 23 |

***

Starting from a structure optimized by DFT (PBE), the XRD peak list of Pa3Si2Rh7 was simulated for copper Kα.
Neutral-atom scattering factors, no anomalous dispersion.

Cell and atoms:
Unit cell a=13.4662 b=13.4662 c=13.4662 alpha=162.95 beta=162.95 gamma=24.21
Fractional positions:
1 Pa 0.0000 0.0000 0.0000
2 Pa 0.1726 0.1726 0.0000
3 Pa 0.8274 0.8274 0.0000
4 Si 0.3709 0.3709 0.0000
5 Si 0.6291 0.6291 0.0000
6 Rh 0.0804 0.5804 0.5000
7 Rh 0.2810 0.2810 0.0000
8 Rh 0.4196 0.9196 0.5000
9 Rh 0.5000 0.5000 0.0000
10 Rh 0.5804 0.0804 0.5000
11 Rh 0.7190 0.7190 0.0000
12 Rh 0.9196 0.4196 0.5000

Largest 10 diffraction maxima, in order of falling intensity, 2θ from 5° to 70°:
| 2θ (°) | d [Å] | I_rel |
| --- | --- | --- |
| 37.9 | 2.375 | 100 |
| 45.4 | 1.997 | 52 |
| 44.1 | 2.053 | 27 |
| 31.7 | 2.824 | 25 |
| 38.1 | 2.360 | 23 |
| 34.6 | 2.595 | 20 |
| 32.7 | 2.738 | 19 |
| 22.5 | 3.948 | 18 |
| 65.2 | 1.431 | 17 |
| 66.2 | 1.412 | 17 |

***

Starting from a structure optimized by DFT (PBE), the XRD peak list of Pa3Si3Rh was simulated for copper Kα.
Neutral-atom scattering factors, no anomalous dispersion.

Cell and atoms:
Unit cell a=5.5971 b=5.5971 c=13.7012 alpha=107.45 beta=107.45 gamma=43.85
Fractional positions:
1 Pa 0.0304 0.0304 0.3773
2 Pa 0.0999 0.0999 0.9223
3 Pa 0.2498 0.2498 0.2288
4 Pa 0.7502 0.7502 0.7712
5 Pa 0.9001 0.9001 0.0777
6 Pa 0.9696 0.9696 0.6227
7 Si 0.3724 0.3724 0.4583
8 Si 0.3821 0.3821 0.9231
9 Si 0.4661 0.4661 0.7707
10 Si 0.5339 0.5339 0.2293
11 Si 0.6179 0.6179 0.0769
12 Si 0.6276 0.6276 0.5417
13 Rh 0.2560 0.2560 0.6115
14 Rh 0.7440 0.7440 0.3885

Largest 10 diffraction maxima, in order of falling intensity, 2θ from 5° to 70°:
| 2θ (°) | d [Å] | I_rel |
| --- | --- | --- |
| 33.1 | 2.708 | 100 |
| 33.8 | 2.649 | 82 |
| 23.1 | 3.846 | 75 |
| 34.0 | 2.637 | 61 |
| 34.6 | 2.592 | 53 |
| 43.3 | 2.090 | 52 |
| 26.1 | 3.420 | 52 |
| 27.6 | 3.227 | 50 |
| 33.7 | 2.662 | 46 |
| 40.8 | 2.210 | 43 |

***

Starting from a structure optimized by DFT (PBE), the XRD peak list of Pa2Si5Rh3 was simulated for copper Kα.
Neutral-atom scattering factors, no anomalous dispersion.

Cell and atoms:
Unit cell a=8.1037 b=8.1037 c=8.1037 alpha=105.18 beta=90.23 gamma=137.24
Fractional positions:
1 Pa 0.1327 0.2303 0.3630
2 Pa 0.3673 0.7303 0.0976
3 Pa 0.6327 0.2697 0.9024
4 Pa 0.8673 0.7697 0.6370
5 Si 0.0262 0.7500 0.2762
6 Si 0.1094 0.6527 0.7621
7 Si 0.2500 0.2500 0.0000
8 Si 0.3906 0.1527 0.5432
9 Si 0.4738 0.7500 0.7238
10 Si 0.5262 0.2500 0.2762
11 Si 0.6094 0.8473 0.4568
12 Si 0.7500 0.7500 0.0000
13 Si 0.8906 0.3473 0.2379
14 Si 0.9738 0.2500 0.7238
15 Rh 0.1399 0.8891 0.0290
16 Rh 0.2500 0.7500 0.5000
17 Rh 0.3601 0.3891 0.7493
18 Rh 0.6399 0.6109 0.2507
19 Rh 0.7500 0.2500 0.5000
20 Rh 0.8601 0.1109 0.9710

Largest 10 diffraction maxima, in order of falling intensity, 2θ from 5° to 70°:
| 2θ (°) | d [Å] | I_rel |
| --- | --- | --- |
| 35.0 | 2.565 | 100 |
| 44.1 | 2.055 | 53 |
| 23.5 | 3.792 | 49 |
| 35.4 | 2.533 | 48 |
| 36.3 | 2.473 | 42 |
| 30.3 | 2.954 | 27 |
| 56.8 | 1.620 | 26 |
| 31.3 | 2.859 | 23 |
| 51.5 | 1.776 | 22 |
| 58.1 | 1.588 | 20 |

***

Starting from a structure optimized by DFT (PBE), the XRD peak list of Pa2Si3Rh was simulated for copper Kα.
Neutral-atom scattering factors, no anomalous dispersion.

Cell and atoms:
Unit cell a=8.1353 b=8.0736 c=5.6873 alpha=70.04 beta=68.88 gamma=41.08
Fractional positions:
1 Pa 0.2500 0.2500 0.2500
2 Pa 0.2504 0.7496 0.7496
3 Pa 0.7496 0.2504 0.2504
4 Pa 0.7500 0.7500 0.7500
5 Si 0.1639 0.6707 0.3293
6 Si 0.1656 0.1656 0.8344
7 Si 0.3293 0.8361 0.1639
8 Si 0.6707 0.1639 0.8361
9 Si 0.8344 0.8344 0.1656
10 Si 0.8361 0.3293 0.6707
11 Rh 0.3341 0.3341 0.6659
12 Rh 0.6659 0.6659 0.3341

Largest 10 diffraction maxima, in order of falling intensity, 2θ from 5° to 70°:
| 2θ (°) | d [Å] | I_rel |
| --- | --- | --- |
| 34.0 | 2.634 | 100 |
| 25.2 | 3.527 | 44 |
| 44.5 | 2.034 | 22 |
| 57.1 | 1.613 | 16 |
| 65.8 | 1.419 | 14 |
| 53.1 | 1.726 | 13 |
| 44.4 | 2.042 | 11 |
| 45.8 | 1.979 | 10 |
| 22.5 | 3.959 | 10 |
| 57.3 | 1.608 | 8 |

***

Starting from a structure optimized by DFT (PBE), the XRD peak list of Pa3Si8Rh3 was simulated for copper Kα.
Neutral-atom scattering factors, no anomalous dispersion.

Cell and atoms:
Unit cell a=7.7498 b=7.7498 c=7.7498 alpha=148.53 beta=104.22 gamma=84.34
Fractional positions:
1 Pa 0.0000 0.0000 0.0000
2 Pa 0.2986 0.2986 0.0000
3 Pa 0.7014 0.7014 0.0000
4 Si 0.0305 0.6607 0.3698
5 Si 0.1536 0.8717 0.2819
6 Si 0.2909 0.6607 0.6302
7 Si 0.4103 0.1283 0.2819
8 Si 0.5897 0.8717 0.7181
9 Si 0.7091 0.3393 0.3698
10 Si 0.8464 0.1283 0.7181
11 Si 0.9695 0.3393 0.6302
12 Rh 0.2895 0.5000 0.7895
13 Rh 0.5000 0.0000 0.5000
14 Rh 0.7105 0.5000 0.2105

Largest 10 diffraction maxima, in order of falling intensity, 2θ from 5° to 70°:
| 2θ (°) | d [Å] | I_rel |
| --- | --- | --- |
| 36.9 | 2.433 | 100 |
| 23.1 | 3.845 | 48 |
| 18.6 | 4.759 | 33 |
| 43.0 | 2.102 | 27 |
| 36.8 | 2.443 | 25 |
| 31.6 | 2.831 | 21 |
| 35.4 | 2.532 | 21 |
| 29.4 | 3.038 | 20 |
| 37.8 | 2.380 | 20 |
| 25.1 | 3.552 | 19 |

***

Starting from a structure optimized by DFT (PBE), the XRD peak list of SmPaRh4 was simulated for copper Kα.
Neutral-atom scattering factors, no anomalous dispersion.

Cell and atoms:
Unit cell a=8.0114 b=8.0114 c=5.3313 alpha=108.80 beta=108.80 gamma=46.70
Fractional positions:
1 Sm 0.1942 0.1942 0.2628
2 Sm 0.8058 0.8058 0.7372
3 Pa 0.4237 0.4237 0.6621
4 Pa 0.5763 0.5763 0.3379
5 Rh 0.1024 0.6711 0.3187
6 Rh 0.2043 0.7957 0.0000
7 Rh 0.2975 0.2975 0.8958
8 Rh 0.3289 0.8976 0.6813
9 Rh 0.6711 0.1024 0.3187
10 Rh 0.7025 0.7025 0.1042
11 Rh 0.7957 0.2043 0.0000
12 Rh 0.8976 0.3289 0.6813

Largest 10 diffraction maxima, in order of falling intensity, 2θ from 5° to 70°:
| 2θ (°) | d [Å] | I_rel |
| --- | --- | --- |
| 38.3 | 2.352 | 100 |
| 37.2 | 2.415 | 64 |
| 36.9 | 2.435 | 58 |
| 33.9 | 2.645 | 48 |
| 46.5 | 1.952 | 31 |
| 15.4 | 5.768 | 27 |
| 34.2 | 2.620 | 24 |
| 61.2 | 1.514 | 24 |
| 53.8 | 1.705 | 23 |
| 33.5 | 2.673 | 22 |

***

Starting from a structure optimized by DFT (PBE), the XRD peak list of SmPa2Rh3 was simulated for copper Kα.
Neutral-atom scattering factors, no anomalous dispersion.

Cell and atoms:
Unit cell a=5.6251 b=5.6251 c=10.3422 alpha=90.00 beta=90.00 gamma=126.85
Fractional positions:
1 Sm 0.2243 0.7757 0.7500
2 Sm 0.7757 0.2243 0.2500
3 Pa 0.0935 0.9065 0.2500
4 Pa 0.5000 0.5000 0.0000
5 Pa 0.5000 0.5000 0.5000
6 Pa 0.9065 0.0935 0.7500
7 Rh 0.1940 0.8060 0.0382
8 Rh 0.1940 0.8060 0.4618
9 Rh 0.4487 0.5513 0.2500
10 Rh 0.5513 0.4487 0.7500
11 Rh 0.8060 0.1940 0.5382
12 Rh 0.8060 0.1940 0.9618

Largest 10 diffraction maxima, in order of falling intensity, 2θ from 5° to 70°:
| 2θ (°) | d [Å] | I_rel |
| --- | --- | --- |
| 35.7 | 2.517 | 100 |
| 32.1 | 2.791 | 100 |
| 33.2 | 2.695 | 92 |
| 34.7 | 2.586 | 82 |
| 41.6 | 2.169 | 75 |
| 26.2 | 3.395 | 70 |
| 50.6 | 1.803 | 61 |
| 48.0 | 1.897 | 49 |
| 69.8 | 1.347 | 27 |
| 57.8 | 1.595 | 24 |